Ni2HgO3: computed X-ray diffraction stick pattern (Cu Kα X-rays), based on a cell relaxed with PBE+U.
Peak positions follow from Bragg's law for the DFT cell and can differ from measured ones.

Top 10 peaks for 10 to 80 degrees two-theta, sorted by position:
| 2θ (°) | d_spacing | I/Imax | hkl |
| --- | --- | --- | --- |
| 18.78 | 4.725 | 58 | 1 0 0 |
| 32.83 | 2.728 | 100 | 1 1 0 |
| 37.97 | 2.370 | 92 | 1 0 2 |
| 38.09 | 2.363 | 19 | 2 0 0 |
| 51.07 | 1.789 | 62 | 2 0 2 |
| 58.61 | 1.575 | 24 | 3 0 0 |
| 62.03 | 1.496 | 46 | 2 1 2 |
| 68.51 | 1.370 | 5 | 0 0 4 |
| 68.81 | 1.364 | 16 | 2 2 0 |
| 78.07 | 1.224 | 17 | 1 1 4 |

Crystal structure
Lattice parameters (Å, degrees): 5.456 5.456 5.478 90.00 90.00 120.00
Sites, in units of the cell vectors:
Ni: 0.333 0.667 0.000
Ni: 0.333 0.667 0.500
Ni: 0.667 0.333 0.000
Ni: 0.667 0.333 0.500
Hg: 0.000 0.000 0.250
Hg: 0.000 0.000 0.750
O: 0.000 0.402 0.250
O: 0.000 0.598 0.750
O: 0.402 0.000 0.250
O: 0.402 0.402 0.750
O: 0.598 0.000 0.750
O: 0.598 0.598 0.250